Structure and theoretical powder XRD pattern of CaHo2Rh2 (DFT lattice parameters and positions (GGA-PBE); Cu Kα X-rays).
Kinematic intensities with the Lorentz-polarization factor, no thermal factor.

Atomic structure:
a = 4.908 Å, b = 4.908 Å, c = 5.704 Å
α = 90.00°, β = 90.00°, γ = 120.00°
Element x y z (fractional)
Ca (0.000, 0.000, 0.000)
Ho (0.333, 0.667, 0.325)
Ho (0.667, 0.333, 0.675)
Rh (0.333, 0.667, 0.818)
Rh (0.667, 0.333, 0.182)

Most intense lines, 15 to 90 degrees two-theta, sorted by position:
- 2θ = 20.90°, I 63, (1 0 0)
- 2θ = 26.15°, I 17, (0 1 1)
- 2θ = 31.37°, I 12, (0 0 2)
- 2θ = 36.62°, I 100, (1 1 0)
- 2θ = 37.99°, I 95, (1 0 2)
- 2θ = 48.97°, I 22, (1 1 2)
- 2θ = 53.79°, I 35, (0 2 2)
- 2θ = 65.93°, I 18, (3 0 0)
- 2θ = 66.84°, I 36, (2 1 2)
- 2θ = 69.54°, I 19, (0 1 4)
- 2θ = 77.85°, I 11, (2 2 0)
- 2θ = 81.24°, I 13, (2 0 4)